# 1
Diffraction record for NdCrS3. The powder XRD pattern is simulated, not measured: it uses a DFT-relaxed cell (PBE, the Materials Project) and copper Kα.
Kinematic intensities with the Lorentz-polarization factor, no thermal factor.

Structural model:
```
data_NdCrS3
_cell_length_a 7.8037
_cell_length_b 3.7901
_cell_length_c 13.0409
_cell_angle_alpha 90.00
_cell_angle_beta 90.00
_cell_angle_gamma 90.00
_space_group_name_H-M_alt 'P n m a'
_space_group_IT_number 62
loop_
_space_group_symop_operation_xyz
'x,y,z'
'-x,-y,-z'
'-x+1/2,-y,z+1/2'
'x+1/2,y,-z+1/2'
'x+1/2,-y+1/2,-z+1/2'
'-x+1/2,y+1/2,z+1/2'
'-x,y+1/2,-z'
'x,-y+1/2,z'
loop_
_atom_site_label
_atom_site_fract_x
_atom_site_fract_y
_atom_site_fract_z
_atom_site_occupancy
Nd1 0.0890 0.2500 0.1721 1
Cr1 0.1628 0.7500 0.4487 1
S1 0.0102 0.7500 0.6061 1
S2 0.1593 0.7500 0.0059 1
S3 0.1936 0.2500 0.7874 1
```

Top 10 peaks for 10° ≤ 2θ ≤ 90°, sorted by position:
hkl	d/Å	Position (°2θ)	Rel. int.
1 0 3	3.798	23.43	73
2 0 1	3.738	23.80	63
0 1 1	3.640	24.46	48
1 1 2	3.021	29.57	40
1 1 3	2.683	33.40	46
2 1 1	2.661	33.68	54
2 1 2	2.509	35.78	100
1 0 5	2.474	36.32	36
0 1 5	2.149	42.05	44
0 2 0	1.895	48.00	37

# 2
Diffraction record for KO2. The powder XRD pattern is simulated, not measured: it uses a DFT-relaxed cell (PBE, the Materials Project) and copper Kα.
Kinematic intensities with the Lorentz-polarization factor, no thermal factor.

Structural model:
```
data_KO2
_cell_length_a 5.5135
_cell_length_b 5.6731
_cell_length_c 8.2232
_cell_angle_alpha 90.00
_cell_angle_beta 125.86
_cell_angle_gamma 90.00
_space_group_name_H-M_alt 'P 1 21/c 1'
_space_group_IT_number 14
loop_
_space_group_symop_operation_xyz
'x,y,z'
'-x,-y,-z'
'-x,y+1/2,-z+1/2'
'x,-y+1/2,z+1/2'
loop_
_atom_site_label
_atom_site_fract_x
_atom_site_fract_y
_atom_site_fract_z
_atom_site_occupancy
K1 0.2422 0.2477 0.4496 1
O1 0.1644 0.7462 0.4520 1
O2 0.3345 0.6905 0.6501 1
```

Top 10 peaks for 10° ≤ 2θ ≤ 90°, sorted by position:
hkl	d/Å	Position (°2θ)	Rel. int.
0 0 2	3.332	26.75	56
0 1 2	2.873	31.13	37
0 2 0	2.837	31.54	100
2 0 -2	2.742	32.66	70
2 1 -2	2.469	36.39	42
2 0 0	2.234	40.37	30
0 2 2	2.160	41.82	31
2 2 -2	1.971	46.04	41
2 1 -4	1.900	47.87	19
2 2 0	1.755	52.11	23